The following is a simulated powder diffraction line list of Fe2Ni5Rh2. It was derived from DFT lattice parameters and positions (GGA-PBE), using λ = 1.5418 Å (Cu Kα).

Cell and atoms:
Unit cell a=7.4389 b=7.4389 c=7.4389 alpha=86.97 beta=103.49 gamma=145.04
Positions (direct):
Fe  0.0000  0.0000  0.0000
Fe  0.0000  0.5000  0.5000
Fe  0.0255  0.2223  0.3033
Fe  0.9190  0.7223  0.6967
Ni  0.1860  0.6365  0.8355
Ni  0.1860  0.8505  0.0495
Ni  0.2719  0.2086  0.5633
Ni  0.5066  0.2842  0.3369
Ni  0.5066  0.6697  0.7224
Ni  0.6453  0.7086  0.4367
Ni  0.8010  0.1365  0.9505
Ni  0.8010  0.3505  0.1645
Ni  0.9473  0.1697  0.6631
Ni  0.9473  0.7842  0.2776
Rh  0.4492  0.6079  0.0822
Rh  0.4492  0.8670  0.3413
Rh  0.5257  0.1079  0.6587
Rh  0.5257  0.3670  0.9178

Top 8 peaks for 5° ≤ 2θ ≤ 70°, sorted by position:
two_theta, I_rel
38.54, 21.2
39.12, 22.7
40.25, 57.2
40.37, 33.9
43.03, 46.3
45.08, 100.0
49.00, 39.1
49.37, 82.6

***

The following is a simulated powder diffraction line list of NdSmHgBr. It was derived from DFT lattice parameters and positions (GGA-PBE), using λ = 1.5418 Å (Cu Kα).

Cell and atoms:
Unit cell a=5.3802 b=5.3802 c=5.3802 alpha=60.00 beta=60.00 gamma=60.00
Positions (direct):
Nd  0.0000  0.0000  0.0000
Sm  0.5000  0.5000  0.5000
Hg  0.7500  0.7500  0.7500
Br  0.2500  0.2500  0.2500

Top 8 peaks for 5° ≤ 2θ ≤ 70°, sorted by position:
two_theta, I_rel
20.21, 9.0
33.31, 100.0
39.27, 5.5
47.82, 18.2
52.42, 2.5
59.52, 37.9
63.54, 1.9
69.94, 11.7

***

The following is a simulated powder diffraction line list of RbCr2S4. It was derived from DFT lattice parameters and positions (GGA-PBE), using λ = 1.5418 Å (Cu Kα).

Cell and atoms:
Unit cell a=6.9090 b=15.9205 c=5.9835 alpha=90.00 beta=90.00 gamma=90.00
Positions (direct):
Rb  0.2500  0.2500  0.0270
Rb  0.2500  0.7500  0.3685
Rb  0.7500  0.2500  0.6315
Rb  0.7500  0.7500  0.9730
Cr  0.0000  0.0000  0.5000
Cr  0.0000  0.5000  0.5000
Cr  0.2500  0.0007  0.0088
Cr  0.2500  0.4993  0.0088
Cr  0.5000  0.0000  0.5000
Cr  0.5000  0.5000  0.5000
Cr  0.7500  0.5007  0.9912
Cr  0.7500  0.9993  0.9912
S  0.0004  0.0830  0.8338
S  0.0004  0.4170  0.8338
S  0.9996  0.5830  0.1662
S  0.9996  0.9170  0.1662
S  0.2500  0.0835  0.3397
S  0.2500  0.4165  0.3397
S  0.2500  0.5812  0.6732
S  0.2500  0.9188  0.6732
S  0.4996  0.0830  0.8338
S  0.4996  0.4170  0.8338
S  0.5004  0.5830  0.1662
S  0.5004  0.9170  0.1662
S  0.7500  0.0812  0.3268
S  0.7500  0.4188  0.3268
S  0.7500  0.5835  0.6603
S  0.7500  0.9165  0.6603

Top 8 peaks for 5° ≤ 2θ ≤ 70°, sorted by position:
two_theta, I_rel
11.12, 87.9
20.41, 44.1
22.34, 31.3
25.86, 36.0
34.41, 100.0
37.61, 69.8
45.70, 33.4
53.02, 50.3

***

The following is a simulated powder diffraction line list of Cu2Au. It was derived from DFT lattice parameters and positions (GGA-PBE), using λ = 1.5418 Å (Cu Kα).

Cell and atoms:
Unit cell a=2.7989 b=2.7989 c=6.3712 alpha=90.00 beta=90.00 gamma=120.00
Positions (direct):
Cu  0.3333  0.6667  0.1504
Cu  0.6667  0.3333  0.8496
Au  0.0000  0.0000  0.5000

Top 8 peaks for 5° ≤ 2θ ≤ 70°, sorted by position:
two_theta, I_rel
13.90, 40.7
28.01, 14.9
37.09, 15.2
39.79, 100.0
42.57, 22.5
47.11, 56.8
57.71, 10.1
66.85, 17.8